For Tm3Ga8Pt3, a PBE-relaxed structure gives the theoretical powder X-ray diffraction pattern in this record (copper Kα).

The 6 most intense peaks (2θ from 10° to 90°), low angle first:
index	2θ (°)	I/Imax
3 1 0	29.9	50.4
3 1 -3	35.3	100.0
5 1 -2	35.8	68.5
1 1 -3	38.1	36.9
0 2 0	42.1	62.2
3 1 -4	44.2	28.4

Structure:
Cell: 15.5328 4.2919 9.4570 Å, 90.00 126.48 90.00°
Space group C2/m (No. 12)
Symmetry-distinct sites (fractional):
Tm: 0.0000 0.0000 0.0000 [2 per cell]
Tm: 0.2086 0.5000 0.7132 [4 per cell]
Ga: 0.0005 0.5000 0.3269 [4 per cell]
Ga: 0.1443 0.0000 0.4321 [4 per cell]
Ga: 0.1494 0.0000 0.8653 [4 per cell]
Ga: 0.1545 0.5000 0.2832 [4 per cell]
Pt: 0.0000 0.0000 0.5000 [2 per cell]
Pt: 0.1454 0.5000 0.0081 [4 per cell]



For TmGa6Pt12, a PBE-relaxed structure gives the theoretical powder X-ray diffraction pattern in this record (copper Kα).

The 6 most intense peaks (2θ from 10° to 90°), low angle first:
index	2θ (°)	I/Imax
0 1 2	23.3	29.0
1 3 1	33.7	100.0
1 1 3	36.1	57.6
3 2 1	40.3	33.0
0 3 3	42.4	52.6
5 0 2	50.1	50.0

Structure:
Cell: 11.7100 11.7100 8.2456 Å, 90.00 90.00 120.00°
Space group R-3m (No. 166, hexagonal axes)
Symmetry-distinct sites (fractional):
Tm: 0.0000 0.0000 0.0000 [3 per cell]
Ga: 0.0543 0.5272 0.2515 [18 per cell]
Pt: 0.0000 0.3743 0.5000 [18 per cell]
Pt: 0.0792 0.1583 0.2958 [18 per cell]



For UGa2Pt4, a PBE-relaxed structure gives the theoretical powder X-ray diffraction pattern in this record (copper Kα).

The 6 most intense peaks (2θ from 10° to 90°), low angle first:
index	2θ (°)	I/Imax
1 0 2	24.7	26.1
6 0 0	33.0	37.9
3 1 2	36.6	68.1
5 0 2	36.7	26.4
5 1 1	37.2	100.0
0 2 0	44.0	48.2

Structure:
Cell: 16.3181 4.1188 7.4119 Å, 90.00 90.00 90.00°
Space group Pnma (No. 62)
Symmetry-distinct sites (fractional):
U: 0.1507 0.2500 0.0809 [4 per cell]
Ga: 0.0107 0.7500 0.2538 [4 per cell]
Ga: 0.1819 0.2500 0.6283 [4 per cell]
Pt: 0.0478 0.7500 0.9170 [4 per cell]
Pt: 0.0532 0.2500 0.4303 [4 per cell]
Pt: 0.1720 0.7500 0.3746 [4 per cell]
Pt: 0.2130 0.7500 0.8332 [4 per cell]